# PmGe2Ir2Pt
Simulated powder diffraction line list, Cu Kα (λ = 1.5418 Å). Input: a crystal structure in Alexandria, relaxed with GGA-PBE.
No peak broadening, texture or thermal motion is included.

Structural model:
```
PmGe2Ir2Pt
1.0
4.6792 0.0000 0.0000
0.0000 4.6792 0.0000
0.0000 0.0000 5.5443
Pm Ge Ir Pt
1 2 2 1
Direct
0.0000 0.0000 0.0000 Pm
0.0000 0.5000 0.5000 Ge
0.5000 0.0000 0.5000 Ge
0.5000 0.5000 0.2338 Ir
0.5000 0.5000 0.7662 Ir
0.0000 0.0000 0.5000 Pt
```

Largest 12 diffraction maxima, low angle first, 2θ from 10° to 80°:
16.0°, intensity 10; 26.9°, intensity 76; 31.5°, intensity 7; 37.7°, intensity 100; 38.5°, intensity 71; 42.5°, intensity 5; 55.0°, intensity 68; 55.5°, intensity 25; 62.8°, intensity 15; 67.6°, intensity 7; 69.1°, intensity 17; 74.2°, intensity 8



# PmZnGe2Ir
Simulated powder diffraction line list, Cu Kα (λ = 1.5418 Å). Input: a crystal structure in Alexandria, relaxed with GGA-PBE.
No peak broadening, texture or thermal motion is included.

Structural model:
```
PmZnGe2Ir
1.0
-2.0607 2.0607 5.4507
2.0607 -2.0607 5.4507
2.0607 2.0607 -5.4507
Pm Zn Ge Ir
1 1 2 1
Direct
0.0000 0.0000 0.0000 Pm
0.2500 0.7500 0.5000 Zn
0.3840 0.3840 0.0000 Ge
0.6160 0.6160 0.0000 Ge
0.7500 0.2500 0.5000 Ir
```

Largest 12 diffraction maxima, low angle first, 2θ from 10° to 80°:
23.1°, intensity 23; 32.9°, intensity 56; 34.9°, intensity 100; 43.9°, intensity 46; 45.6°, intensity 18; 47.2°, intensity 24; 55.9°, intensity 30; 60.0°, intensity 15; 63.9°, intensity 17; 66.4°, intensity 16; 68.9°, intensity 9; 74.9°, intensity 22



# Pr3Ge8Ir3
Simulated powder diffraction line list, Cu Kα (λ = 1.5418 Å). Input: a crystal structure in Alexandria, relaxed with GGA-PBE.
No peak broadening, texture or thermal motion is included.

Structural model:
```
Pr3Ge8Ir3
1.0
-2.1189 5.3013 6.2828
2.1189 -5.3013 6.2828
2.1189 5.3013 -6.2828
Pr Ge Ir
3 8 3
Direct
0.0000 0.0000 0.0000 Pr
0.3158 0.3158 0.0000 Pr
0.6842 0.6842 0.0000 Pr
0.0267 0.6557 0.3710 Ge
0.1784 0.8807 0.2978 Ge
0.2848 0.6557 0.6290 Ge
0.4171 0.1193 0.2978 Ge
0.5829 0.8807 0.7022 Ge
0.7152 0.3443 0.3710 Ge
0.8216 0.1193 0.7022 Ge
0.9733 0.3443 0.6290 Ge
0.2927 0.5000 0.7927 Ir
0.5000 0.0000 0.5000 Ir
0.7073 0.5000 0.2073 Ir
```

Largest 12 diffraction maxima, low angle first, 2θ from 10° to 80°:
10.9°, intensity 28; 14.1°, intensity 33; 27.9°, intensity 21; 33.2°, intensity 19; 34.5°, intensity 100; 36.0°, intensity 26; 42.7°, intensity 31; 43.2°, intensity 33; 44.1°, intensity 27; 62.4°, intensity 22; 72.9°, intensity 19; 79.1°, intensity 17